# Li3V2P3O12
Theoretical X-ray powder pattern, copper Kα. Input: a cell relaxed with GGA+U.

Structural model:
Lattice parameters (Å, degrees): 14.9080 8.7783 8.6905 90.00 123.60 90.00
Space group Cc (No. 9)
Inequivalent atoms, fractional coordinates:
Li1 0.0000 0.0704 0.0000 (multiplicity 4)
Li2 0.1480 0.3500 0.9324 (multiplicity 4)
Li3 0.4053 0.2262 0.1104 (multiplicity 4)
V1 0.0849 0.2491 0.5563 (multiplicity 4)
V2 0.2990 0.2486 0.3384 (multiplicity 4)
P1 0.0467 0.3949 0.1539 (multiplicity 4)
P2 0.1887 0.0450 0.9476 (multiplicity 4)
P3 0.3373 0.3945 0.7381 (multiplicity 4)
O1 0.0318 0.4282 0.6429 (multiplicity 4)
O2 0.0506 0.3468 0.3261 (multiplicity 4)
O3 0.1036 0.1515 0.7884 (multiplicity 4)
O4 0.1235 0.0400 0.5113 (multiplicity 4)
O5 0.1522 0.3493 0.1689 (multiplicity 4)
O6 0.2321 0.3416 0.7146 (multiplicity 4)
O7 0.2460 0.0607 0.3916 (multiplicity 4)
O8 0.2736 0.1562 0.0996 (multiplicity 4)
O9 0.3455 0.3518 0.5758 (multiplicity 4)
O10 0.3545 0.4286 0.2598 (multiplicity 4)
O11 0.4302 0.3293 0.9292 (multiplicity 4)
O12 0.4578 0.1856 0.4737 (multiplicity 4)

Peak list (10 most intense, 2θ from 10° to 90°, by angle)
2θ/deg, I/Imax, index
14.30, 25, 2 0 0
20.03, 15, 1 1 1
20.51, 62, 2 0 -2
23.75, 100, 1 1 -2
23.93, 47, 2 2 -1
28.76, 15, 4 0 0
28.92, 26, 2 2 -2
32.59, 29, 5 1 -1
35.29, 23, 1 3 1
46.66, 15, 4 2 -4


# Nb12WO33
Theoretical X-ray powder pattern, copper Kα. Input: a cell relaxed with GGA+U.

Structural model:
Lattice parameters (Å, degrees): 22.7933 3.8703 18.1753 90.00 123.45 90.00
Space group C2 (No. 5)
Inequivalent atoms, fractional coordinates:
Nb1 0.0351 0.0001 0.2871 (multiplicity 4)
Nb2 0.0823 0.9999 0.6187 (multiplicity 4)
Nb3 0.1318 0.5043 0.2328 (multiplicity 4)
Nb4 0.1328 0.9954 0.9537 (multiplicity 4)
Nb5 0.2010 0.0000 0.5270 (multiplicity 4)
Nb6 0.2486 0.4998 0.1383 (multiplicity 4)
W1 0.0000 0.2536 0.0000 (multiplicity 2)
O1 0.0000 0.9999 0.5000 (multiplicity 2)
O2 0.0255 0.9998 0.6754 (multiplicity 4)
O3 0.0361 0.5045 0.1002 (multiplicity 4)
O4 0.0493 0.0003 0.8446 (multiplicity 4)
O5 0.0488 0.5004 0.2700 (multiplicity 4)
O6 0.0711 0.9938 0.0124 (multiplicity 4)
O7 0.0880 0.4999 0.6270 (multiplicity 4)
O8 0.1069 0.0013 0.2340 (multiplicity 4)
O9 0.1208 0.9998 0.4049 (multiplicity 4)
O10 0.1476 0.0000 0.5748 (multiplicity 4)
O11 0.1487 0.4984 0.9917 (multiplicity 4)
O12 0.1741 0.0000 0.7500 (multiplicity 4)
O13 0.1815 0.4994 0.1791 (multiplicity 4)
O14 0.1954 0.0000 0.9169 (multiplicity 4)
O15 0.2078 0.4994 0.3493 (multiplicity 4)
O16 0.2231 0.4998 0.5215 (multiplicity 4)
O17 0.2249 0.9994 0.1035 (multiplicity 4)

Peak list (10 most intense, 2θ from 10° to 90°, by angle)
2θ/deg, I/Imax, index
23.51, 89, 1 1 -1
24.06, 97, 2 0 3
24.77, 100, 6 0 -4
30.67, 22, 5 1 -3
32.15, 22, 5 1 -4
32.53, 23, 3 1 2
34.80, 34, 4 0 -7
46.95, 20, 0 2 0
53.44, 25, 5 1 5
53.74, 25, 11 1 -8


# MgCr2O4
Theoretical X-ray powder pattern, copper Kα. Input: a cell relaxed with GGA+U.

Structural model:
Lattice parameters (Å, degrees): 5.1316 2.9823 5.2495 90.00 105.55 90.00
Space group Pm (No. 6)
Inequivalent atoms, fractional coordinates:
Mg1 0.0000 0.0000 0.0000 (multiplicity 1)
Cr1 0.2442 0.0000 0.5984 (multiplicity 1)
Cr2 0.6124 0.5000 0.1779 (multiplicity 1)
O1 0.1190 0.5000 0.8117 (multiplicity 1)
O2 0.3417 0.5000 0.3787 (multiplicity 1)
O3 0.5771 0.0000 0.9009 (multiplicity 1)
O4 0.8683 0.0000 0.3389 (multiplicity 1)

Peak list (10 most intense, 2θ from 10° to 90°, by angle)
2θ/deg, I/Imax, index
21.51, 78, 1 0 -1
28.43, 100, 1 0 1
34.93, 45, 0 1 1
35.14, 42, 1 1 0
35.91, 28, 2 0 -1
37.18, 54, 1 1 -1
46.94, 44, 1 1 -2
53.99, 30, 2 1 -2
54.48, 29, 1 1 2
62.70, 28, 3 1 -1


# MgTi2Tl2W2O10F2
Theoretical X-ray powder pattern, copper Kα. Input: a cell relaxed with GGA+U.

Structural model:
Lattice parameters (Å, degrees): 12.7496 7.4440 7.5718 90.00 126.26 90.00
Space group Cm (No. 8)
Inequivalent atoms, fractional coordinates:
Mg1 0.0000 0.0000 0.0000 (multiplicity 2)
Ti1 0.2712 0.0000 0.7193 (multiplicity 2)
Ti2 0.2752 0.0000 0.2296 (multiplicity 2)
Tl1 0.1584 0.5000 0.4564 (multiplicity 2)
Tl2 0.3231 0.5000 0.1696 (multiplicity 2)
W1 0.0181 0.2511 0.7228 (multiplicity 4)
O1 0.0925 0.5000 0.8133 (multiplicity 2)
O2 0.1287 0.1816 0.0422 (multiplicity 4)
O3 0.1324 0.1810 0.6581 (multiplicity 4)
O4 0.3807 0.1855 0.7731 (multiplicity 4)
O5 0.3816 0.1848 0.4026 (multiplicity 4)
O6 0.4318 0.5000 0.6711 (multiplicity 2)
F1 0.1823 0.0000 0.3899 (multiplicity 2)
F2 0.3289 0.0000 0.0342 (multiplicity 2)

Peak list (10 most intense, 2θ from 10° to 90°, by angle)
2θ/deg, I/Imax, index
14.54, 63, 2 0 -1
23.50, 26, 2 0 -2
24.09, 48, 1 1 1
27.83, 47, 3 1 -2
28.09, 100, 0 2 1
28.58, 79, 2 0 1
29.31, 39, 4 0 -2
29.63, 60, 2 2 0
33.77, 26, 2 2 -2
57.67, 26, 2 4 1


# BaCaCrBiO6
Theoretical X-ray powder pattern, copper Kα. Input: a cell relaxed with GGA+U.

Structural model:
Lattice parameters (Å, degrees): 8.2252 8.2252 8.2252 90.00 90.00 90.00
Space group F-43m (No. 216)
Inequivalent atoms, fractional coordinates:
Ba1 0.0000 0.0000 0.0000 (multiplicity 4)
Ca1 0.0000 0.0000 0.5000 (multiplicity 4)
Cr1 0.2500 0.2500 0.2500 (multiplicity 4)
Bi1 0.2500 0.2500 0.7500 (multiplicity 4)
O1 0.0056 0.2500 0.2500 (multiplicity 24)

Peak list (10 most intense, 2θ from 10° to 90°, by angle)
2θ/deg, I/Imax, index
18.69, 39, 1 1 1
21.61, 11, 2 0 0
30.75, 100, 2 2 0
36.22, 26, 3 1 1
44.04, 32, 4 0 0
48.23, 12, 3 3 1
54.67, 40, 4 2 2
64.04, 20, 4 4 0
72.71, 17, 6 2 0
89.08, 22, 6 4 2


# LiSm4Ti2Mn2O12
Theoretical X-ray powder pattern, copper Kα. Input: a cell relaxed with GGA+U.

Structural model:
Lattice parameters (Å, degrees): 5.4720 6.0171 7.8955 89.20 89.18 88.50
Space group P1 (No. 1)
Inequivalent atoms, fractional coordinates:
Li1 0.0000 0.0000 0.0000 (multiplicity 1)
Sm1 0.1227 0.1535 0.6017 (multiplicity 1)
Sm2 0.1842 0.3401 0.1420 (multiplicity 1)
Sm3 0.5838 0.8170 0.1087 (multiplicity 1)
Sm4 0.6549 0.6638 0.5933 (multiplicity 1)
Ti1 0.1227 0.6852 0.8374 (multiplicity 1)
Ti2 0.6521 0.2336 0.3612 (multiplicity 1)
Mn1 0.1316 0.7462 0.3583 (multiplicity 1)
Mn2 0.6229 0.2397 0.8566 (multiplicity 1)
O1 0.0128 0.7051 0.0878 (multiplicity 1)
O2 0.2569 0.7763 0.6212 (multiplicity 1)
O3 0.3156 0.0557 0.9373 (multiplicity 1)
O4 0.3440 0.0519 0.3127 (multiplicity 1)
O5 0.4265 0.5551 0.9193 (multiplicity 1)
O6 0.4658 0.5465 0.3018 (multiplicity 1)
O7 0.5218 0.2848 0.5956 (multiplicity 1)
O8 0.7796 0.1852 0.1176 (multiplicity 1)
O9 0.8248 0.9417 0.4259 (multiplicity 1)
O10 0.8481 0.9116 0.7994 (multiplicity 1)
O11 0.9486 0.4395 0.7804 (multiplicity 1)
O12 0.9519 0.4188 0.4084 (multiplicity 1)

Peak list (10 most intense, 2θ from 10° to 90°, by angle)
2θ/deg, I/Imax, index
22.53, 34, 0 0 2
24.98, 41, -1 1 1
29.71, 29, 0 2 0
31.14, 41, 1 1 2
31.75, 90, 1 1 -2
31.87, 100, 1 -1 2
32.75, 47, 2 0 0
45.47, 39, 0 2 3
45.98, 36, 0 0 4
57.98, 31, 2 0 -4


# Ga2WO6
Theoretical X-ray powder pattern, copper Kα. Input: a cell relaxed with GGA+U.

Structural model:
Lattice parameters (Å, degrees): 4.5693 16.8822 5.0000 90.00 90.00 90.00
Space group Pbcn (No. 60)
Inequivalent atoms, fractional coordinates:
Ga1 0.0000 0.0536 0.2500 (multiplicity 4)
Ga2 0.0000 0.2754 0.7500 (multiplicity 4)
W1 0.0000 0.3851 0.2500 (multiplicity 4)
O1 0.2265 0.2970 0.0777 (multiplicity 8)
O2 0.2300 0.3737 0.5721 (multiplicity 8)
O3 0.2343 0.0398 0.5923 (multiplicity 8)

Peak list (10 most intense, 2θ from 10° to 90°, by angle)
2θ/deg, I/Imax, index
20.65, 23, 0 2 1
25.10, 39, 1 3 0
30.91, 100, 1 3 1
35.92, 17, 0 0 2
36.65, 26, 0 6 1
52.75, 16, 1 9 0
54.40, 19, 2 0 2
54.93, 29, 2 6 1
61.47, 15, 1 3 3
65.48, 16, 1 9 2